(1)
Theoretical powder X-ray diffraction pattern
Compound: YH7Pd5
Radiation: a wavelength of 1.5418 Å
Structure: a crystal structure in Alexandria, relaxed with PBE
Intensities are scaled so that the largest is 100.

Peak list (10 most intense, 10 to 90 degrees two-theta, sorted by position)
2theta, I (rel.)
34.9, 52
35.5, 100
36.1, 47
39.8, 36
40.0, 35
43.6, 28
56.8, 12
58.7, 11
68.7, 13
69.9, 13

Atomic structure:
```
data_YH7Pd5
_chemical_formula_sum 'Y1 H7 Pd5'
_cell_length_a 5.225
_cell_length_b 5.306
_cell_length_c 5.357
_cell_angle_alpha 83.76
_cell_angle_beta 61.82
_cell_angle_gamma 75.97
_symmetry_space_group_name_H-M 'P 1'
_symmetry_Int_Tables_number 1
loop_
_symmetry_equiv_pos_as_xyz
'x,y,z'
loop_
_atom_site_label
_atom_site_fract_x
_atom_site_fract_y
_atom_site_fract_z
Y1 0.000 0.000 0.000
H1 0.178 0.697 0.326
H2 0.343 0.184 0.601
H3 0.436 0.581 0.712
H4 0.532 0.144 0.009
H5 0.653 0.843 0.386
H6 0.841 0.473 0.014
H7 0.948 0.167 0.421
Pd1 0.136 0.522 0.668
Pd2 0.317 0.988 0.353
Pd3 0.472 0.505 0.021
Pd4 0.655 0.993 0.675
Pd5 0.813 0.502 0.362
```

(2)
Theoretical powder X-ray diffraction pattern
Compound: YHPd3
Radiation: a wavelength of 1.5418 Å
Structure: a crystal structure in Alexandria, relaxed with PBE
Intensities are scaled so that the largest is 100.

Peak list (10 most intense, 10 to 90 degrees two-theta, sorted by position)
2theta, I (rel.)
31.9, 30
35.3, 24
38.0, 100
41.3, 13
42.4, 22
49.2, 10
56.0, 29
69.7, 16
72.7, 26
74.6, 13

Atomic structure:
```
data_YHPd3
_chemical_formula_sum 'Y2 H2 Pd6'
_cell_length_a 3.2851
_cell_length_b 3.2851
_cell_length_c 17.0598
_cell_angle_alpha 90.00
_cell_angle_beta 90.00
_cell_angle_gamma 120.00
_symmetry_space_group_name_H-M 'P 63/m m c'
_symmetry_Int_Tables_number 194
_symmetry_space_group_name_Hall '-P 6c 2c'
loop_
_atom_site_label
_atom_site_fract_x
_atom_site_fract_y
_atom_site_fract_z
Y1 0.0000 0.0000 0.0000
H1 0.3333 0.6667 0.2500
Pd1 0.0000 0.0000 0.2500
Pd2 0.3333 0.6667 0.1233
```

(3)
Theoretical powder X-ray diffraction pattern
Compound: YH6Pd7
Radiation: a wavelength of 1.5418 Å
Structure: a crystal structure in Alexandria, relaxed with PBE
Intensities are scaled so that the largest is 100.

Peak list (10 most intense, 10 to 90 degrees two-theta, sorted by position)
2theta, I (rel.)
12.3, 11
37.3, 34
37.5, 100
43.6, 67
63.2, 21
63.4, 21
75.7, 13
76.0, 24
76.1, 12
80.1, 11

Atomic structure:
```
data_YH6Pd7
_chemical_formula_sum 'Y3 H18 Pd21'
_cell_length_a 5.0796
_cell_length_b 5.0796
_cell_length_c 21.6735
_cell_angle_alpha 90.00
_cell_angle_beta 90.00
_cell_angle_gamma 120.00
_symmetry_space_group_name_H-M 'R 3'
_symmetry_Int_Tables_number 146
_symmetry_space_group_name_Hall 'R 3'
loop_
_atom_site_label
_atom_site_fract_x
_atom_site_fract_y
_atom_site_fract_z
Y1 0.0000 0.0000 0.0000
H1 0.0022 0.3400 0.9201
H2 0.0049 0.6801 0.4124
Pd1 0.0000 0.0000 0.6664
Pd2 0.0002 0.6652 0.8884
Pd3 0.0012 0.3318 0.7778
```

(4)
Theoretical powder X-ray diffraction pattern
Compound: YHPd3
Radiation: a wavelength of 1.5418 Å
Structure: a crystal structure in Alexandria, relaxed with PBE
Intensities are scaled so that the largest is 100.

Peak list (10 most intense, 10 to 90 degrees two-theta, sorted by position)
2theta, I (rel.)
37.2, 100
37.3, 33
41.9, 24
43.7, 21
44.0, 21
62.3, 14
63.8, 13
73.4, 9
73.6, 9
76.4, 12

Atomic structure:
```
data_YHPd3
_chemical_formula_sum 'Y2 H2 Pd6'
_cell_length_a 4.118
_cell_length_b 5.211
_cell_length_c 7.819
_cell_angle_alpha 75.96
_cell_angle_beta 74.76
_cell_angle_gamma 66.76
_symmetry_space_group_name_H-M 'P -1'
_symmetry_Int_Tables_number 2
loop_
_symmetry_equiv_pos_as_xyz
'x,y,z'
'-x,-y,-z'
loop_
_atom_site_label
_atom_site_fract_x
_atom_site_fract_y
_atom_site_fract_z
Y1 0.000 0.000 0.000
Y2 0.000 0.500 0.500
H1 0.294 0.077 0.331
Pd1 0.249 0.876 0.625
Pd2 0.250 0.376 0.124
Pd3 0.493 0.261 0.753
```